Simulated powder X-ray diffraction pattern of PrGaHIr2 for λ = 1.5418 Å (Cu Kα), from a cell relaxed with PBE.
Lines closer than 0.1° are merged.

The 10 most intense peaks (5° ≤ 2θ ≤ 70°), by intensity:
- 2.619 Å, rel. 100
- 2.721 Å, rel. 85
- 2.033 Å, rel. 83
- 2.172 Å, rel. 51
- 2.567 Å, rel. 41
- 2.546 Å, rel. 40
- 2.201 Å, rel. 39
- 1.506 Å, rel. 29
- 1.633 Å, rel. 27
- 5.495 Å, rel. 25

Structure:
```
data_PrGaHIr2
_chemical_formula_sum 'Pr2 Ga2 H2 Ir4'
_cell_length_a 5.859
_cell_length_b 5.859
_cell_length_c 7.207
_cell_angle_alpha 90.00
_cell_angle_beta 90.00
_cell_angle_gamma 139.40
_symmetry_space_group_name_H-M 'P 1'
_symmetry_Int_Tables_number 1
_symmetry_space_group_name_Hall 'P 1'
loop_
_atom_site_label
_atom_site_fract_x
_atom_site_fract_y
_atom_site_fract_z
Pr1 0.063 0.937 0.750
Pr2 0.937 0.063 0.250
Ga1 0.216 0.784 0.250
Ga2 0.784 0.216 0.750
H1 0.500 0.500 0.000
H2 0.500 0.500 0.500
Ir1 0.340 0.660 0.551
Ir2 0.340 0.660 0.949
Ir3 0.660 0.340 0.051
Ir4 0.660 0.340 0.449
```

***

Simulated powder X-ray diffraction pattern of K2GaH5 for λ = 1.5418 Å (Cu Kα), from a cell relaxed with PBE.
Lines closer than 0.1° are merged.

The 10 most intense peaks (5° ≤ 2θ ≤ 70°), by intensity:
- 2.943 Å, rel. 100
- 4.675 Å, rel. 80
- 2.721 Å, rel. 42
- 1.750 Å, rel. 20
- 2.658 Å, rel. 17
- 1.608 Å, rel. 15
- 1.613 Å, rel. 15
- 2.285 Å, rel. 13
- 2.347 Å, rel. 12
- 2.356 Å, rel. 12

Structure:
```
data_K2GaH5
_chemical_formula_sum 'K2 Ga1 H5'
_cell_length_a 5.967
_cell_length_b 5.441
_cell_length_c 5.980
_cell_angle_alpha 62.78
_cell_angle_beta 54.19
_cell_angle_gamma 63.03
_symmetry_space_group_name_H-M 'P 1'
_symmetry_Int_Tables_number 1
_symmetry_space_group_name_Hall 'P 1'
loop_
_atom_site_label
_atom_site_fract_x
_atom_site_fract_y
_atom_site_fract_z
K1 0.000 0.000 0.500
K2 0.500 0.500 0.000
Ga1 0.242 0.242 0.758
H1 0.033 0.033 0.967
H2 0.035 0.457 0.543
H3 0.158 0.524 0.842
H4 0.457 0.035 0.965
H5 0.524 0.158 0.476
```

***

Simulated powder X-ray diffraction pattern of KMg3GaSi3H2O12 for λ = 1.5418 Å (Cu Kα), from a cell relaxed with PBE.
Lines closer than 0.1° are merged.

The 10 most intense peaks (5° ≤ 2θ ≤ 70°), by intensity:
- 10.645 Å, rel. 100
- 2.645 Å, rel. 64
- 3.499 Å, rel. 49
- 2.473 Å, rel. 44
- 3.255 Å, rel. 43
- 1.549 Å, rel. 41
- 3.758 Å, rel. 39
- 2.673 Å, rel. 32
- 3.027 Å, rel. 27
- 3.548 Å, rel. 25

Structure:
```
data_KMg3GaSi3H2O12
_chemical_formula_sum 'K1 Mg3 Ga1 Si3 H2 O12'
_cell_length_a 5.362
_cell_length_b 5.365
_cell_length_c 10.794
_cell_angle_alpha 94.89
_cell_angle_beta 94.61
_cell_angle_gamma 119.98
_symmetry_space_group_name_H-M 'P 1'
_symmetry_Int_Tables_number 1
_symmetry_space_group_name_Hall 'P 1'
loop_
_atom_site_label
_atom_site_fract_x
_atom_site_fract_y
_atom_site_fract_z
K1 0.000 0.000 0.000
Mg1 0.179 0.841 0.526
Mg2 0.504 0.501 0.525
Mg3 0.844 0.176 0.524
Ga1 0.262 0.595 0.785
Si1 0.420 0.753 0.260
Si2 0.597 0.263 0.789
Si3 0.751 0.418 0.260
H1 0.121 0.100 0.329
H2 0.895 0.895 0.705
O1 0.067 0.571 0.203
O2 0.143 0.134 0.420
O3 0.204 0.537 0.613
O4 0.361 0.972 0.845
O5 0.474 0.808 0.411
O6 0.546 0.209 0.632
O7 0.561 0.537 0.844
O8 0.562 0.562 0.202
O9 0.570 0.066 0.201
O10 0.798 0.465 0.411
O11 0.869 0.868 0.614
O12 0.926 0.337 0.845
```

***

Simulated powder X-ray diffraction pattern of KRbGaH6 for λ = 1.5418 Å (Cu Kα), from a cell relaxed with PBE.
Lines closer than 0.1° are merged.

The 10 most intense peaks (5° ≤ 2θ ≤ 70°), by intensity:
- 3.329 Å, rel. 100
- 2.803 Å, rel. 64
- 2.144 Å, rel. 31
- 1.703 Å, rel. 27
- 2.069 Å, rel. 27
- 1.431 Å, rel. 16
- 1.665 Å, rel. 14
- 1.618 Å, rel. 12
- 4.855 Å, rel. 10
- 2.390 Å, rel. 10

Structure:
```
data_KRbGaH6
_chemical_formula_sum 'K1 Rb1 Ga1 H6'
_cell_length_a 5.606
_cell_length_b 5.606
_cell_length_c 4.574
_cell_angle_alpha 90.06
_cell_angle_beta 90.06
_cell_angle_gamma 60.00
_symmetry_space_group_name_H-M 'P 1'
_symmetry_Int_Tables_number 1
_symmetry_space_group_name_Hall 'P 1'
loop_
_atom_site_label
_atom_site_fract_x
_atom_site_fract_y
_atom_site_fract_z
K1 0.000 0.000 0.000
Rb1 0.666 0.666 0.452
Ga1 0.333 0.333 0.737
H1 0.040 0.481 0.952
H2 0.185 0.185 0.519
H3 0.186 0.627 0.518
H4 0.481 0.040 0.952
H5 0.481 0.481 0.951
H6 0.627 0.186 0.518
```

***

Simulated powder X-ray diffraction pattern of LaGaH6 for λ = 1.5418 Å (Cu Kα), from a cell relaxed with PBE.
Lines closer than 0.1° are merged.

The 10 most intense peaks (5° ≤ 2θ ≤ 70°), by intensity:
- 3.265 Å, rel. 100
- 2.747 Å, rel. 42
- 2.733 Å, rel. 21
- 1.885 Å, rel. 20
- 2.096 Å, rel. 19
- 1.632 Å, rel. 13
- 1.768 Å, rel. 13
- 1.760 Å, rel. 13
- 1.771 Å, rel. 12
- 4.192 Å, rel. 11

Structure:
```
data_LaGaH6
_chemical_formula_sum 'La1 Ga1 H6'
_cell_length_a 4.304
_cell_length_b 4.304
_cell_length_c 4.325
_cell_angle_alpha 98.34
_cell_angle_beta 98.34
_cell_angle_gamma 98.71
_symmetry_space_group_name_H-M 'P 1'
_symmetry_Int_Tables_number 1
_symmetry_space_group_name_Hall 'P 1'
loop_
_atom_site_label
_atom_site_fract_x
_atom_site_fract_y
_atom_site_fract_z
La1 0.000 0.000 0.000
Ga1 0.500 0.500 0.500
H1 0.202 0.202 0.559
H2 0.204 0.561 0.204
H3 0.439 0.796 0.796
H4 0.561 0.204 0.204
H5 0.796 0.439 0.796
H6 0.798 0.798 0.441
```

***

Simulated powder X-ray diffraction pattern of LaGaNi4H6 for λ = 1.5418 Å (Cu Kα), from a cell relaxed with PBE.
Lines closer than 0.1° are merged.

The 10 most intense peaks (5° ≤ 2θ ≤ 70°), by intensity:
- 2.522 Å, rel. 100
- 2.171 Å, rel. 84
- 3.291 Å, rel. 35
- 1.568 Å, rel. 27
- 1.646 Å, rel. 26
- 1.549 Å, rel. 16
- 2.267 Å, rel. 14
- 3.761 Å, rel. 9
- 1.812 Å, rel. 7
- 6.801 Å, rel. 6

Structure:
```
data_LaGaNi4H6
_chemical_formula_sum 'La1 Ga1 Ni4 H6'
_cell_length_a 4.342
_cell_length_b 4.342
_cell_length_c 6.801
_cell_angle_alpha 90.00
_cell_angle_beta 90.00
_cell_angle_gamma 120.00
_symmetry_space_group_name_H-M 'P 1'
_symmetry_Int_Tables_number 1
_symmetry_space_group_name_Hall 'P 1'
loop_
_atom_site_label
_atom_site_fract_x
_atom_site_fract_y
_atom_site_fract_z
La1 0.000 0.000 0.000
Ga1 0.000 0.000 0.500
Ni1 0.333 0.667 0.324
Ni2 0.333 0.667 0.676
Ni3 0.667 0.333 0.324
Ni4 0.667 0.333 0.676
H1 0.000 0.500 0.175
H2 0.000 0.500 0.825
H3 0.500 0.000 0.175
H4 0.500 0.000 0.825
H5 0.500 0.500 0.175
H6 0.500 0.500 0.825
```

***

Simulated powder X-ray diffraction pattern of LaGaH6Rh3 for λ = 1.5418 Å (Cu Kα), from a cell relaxed with PBE.
Lines closer than 0.1° are merged.

The 10 most intense peaks (5° ≤ 2θ ≤ 70°), by intensity:
- 2.392 Å, rel. 100
- 2.891 Å, rel. 100
- 1.814 Å, rel. 38
- 2.461 Å, rel. 32
- 1.460 Å, rel. 26
- 1.591 Å, rel. 20
- 2.261 Å, rel. 20
- 3.628 Å, rel. 20
- 1.997 Å, rel. 16
- 1.445 Å, rel. 14

Structure:
```
data_LaGaH6Rh3
_chemical_formula_sum 'La1 Ga1 H6 Rh3'
_cell_length_a 4.858
_cell_length_b 4.858
_cell_length_c 4.858
_cell_angle_alpha 96.61
_cell_angle_beta 96.61
_cell_angle_gamma 96.61
_symmetry_space_group_name_H-M 'P 1'
_symmetry_Int_Tables_number 1
_symmetry_space_group_name_Hall 'P 1'
loop_
_atom_site_label
_atom_site_fract_x
_atom_site_fract_y
_atom_site_fract_z
La1 0.000 0.000 0.000
Ga1 0.414 0.414 0.414
H1 0.135 0.499 0.839
H2 0.135 0.839 0.499
H3 0.499 0.135 0.839
H4 0.499 0.839 0.135
H5 0.839 0.135 0.499
H6 0.839 0.499 0.135
Rh1 0.512 0.512 0.941
Rh2 0.512 0.941 0.512
Rh3 0.941 0.512 0.512
```

***

Simulated powder X-ray diffraction pattern of LiGa2H8 for λ = 1.5418 Å (Cu Kα), from a cell relaxed with PBE.
Lines closer than 0.1° are merged.

The 10 most intense peaks (5° ≤ 2θ ≤ 70°), by intensity:
- 3.141 Å, rel. 100
- 2.844 Å, rel. 100
- 4.635 Å, rel. 94
- 3.607 Å, rel. 65
- 2.544 Å, rel. 44
- 2.660 Å, rel. 42
- 5.694 Å, rel. 26
- 1.802 Å, rel. 26
- 1.980 Å, rel. 24
- 1.520 Å, rel. 18

Structure:
```
data_LiGa2H8
_chemical_formula_sum 'Li2 Ga4 H16'
_cell_length_a 6.203
_cell_length_b 6.203
_cell_length_c 6.988
_cell_angle_alpha 108.77
_cell_angle_beta 108.77
_cell_angle_gamma 71.12
_symmetry_space_group_name_H-M 'P 1'
_symmetry_Int_Tables_number 1
_symmetry_space_group_name_Hall 'P 1'
loop_
_atom_site_label
_atom_site_fract_x
_atom_site_fract_y
_atom_site_fract_z
Li1 0.249 0.751 0.750
Li2 0.751 0.249 0.250
Ga1 0.281 0.298 0.388
Ga2 0.298 0.281 0.888
Ga3 0.702 0.719 0.112
Ga4 0.719 0.702 0.612
H1 0.101 0.139 0.292
H2 0.139 0.101 0.792
H3 0.180 0.555 0.918
H4 0.182 0.575 0.451
H5 0.295 0.340 0.152
H6 0.340 0.295 0.652
H7 0.425 0.818 0.049
H8 0.445 0.820 0.582
H9 0.555 0.180 0.418
H10 0.575 0.182 0.951
H11 0.660 0.705 0.348
H12 0.705 0.660 0.848
H13 0.818 0.425 0.549
H14 0.820 0.445 0.082
H15 0.861 0.899 0.208
H16 0.899 0.861 0.708
```